1.
# Tm2Se3
Computed powder diffractogram, Cu Ka. Input: the GGA-PBE geometry in the Materials Project.
Lines closer than 0.1° are merged.

Cell and atoms:
Lattice parameters (Å, degrees): 8.6093 8.6093 25.8466 90.00 90.00 90.00
Space group I-42d (No. 122)
Symmetry-distinct sites (fractional):
Tm 0.0000 0.0000 0.1653
Tm 0.1142 0.7500 0.6250
Tm 0.1347 0.7389 0.9614
Se 0.0625 0.6814 0.1848
Se 0.0684 0.6839 0.8562
Se 0.0790 0.6788 0.5176

Top 12 peaks for 15 to 90 degrees two-theta, low angle first:
hkl	two_theta	I_rel
1 1 2	16.09	6
1 1 6	25.33	31
3 1 0	32.89	100
2 1 9	39.14	60
4 0 6	47.20	24
3 2 9	49.66	16
4 2 6	52.03	10
3 1 12	54.32	21
1 1 18	66.99	28
6 0 6	68.97	9
5 1 12	70.93	12
2 1 21	82.27	20

=====

2.
# Tm2Se3
Computed powder diffractogram, Cu Ka. Input: the GGA-PBE geometry in the Materials Project.
Lines closer than 0.1° are merged.

Cell and atoms:
Lattice parameters (Å, degrees): 8.1547 11.4135 24.2423 90.00 90.00 90.00
Space group Fddd (No. 70, origin choice 2)
Symmetry-distinct sites (fractional):
Tm 0.1250 0.1250 0.0414
Tm 0.1250 0.1250 0.3773
Se 0.1170 0.3722 0.2062
Se 0.1172 0.3750 0.3750

Top 12 peaks for 15 to 90 degrees two-theta, low angle first:
hkl	two_theta	I_rel
1 1 5	22.71	16
2 0 6	31.16	100
0 4 0	31.35	50
4 0 0	44.44	19
2 4 6	44.80	91
4 4 0	55.39	21
0 4 12	55.75	19
4 0 12	64.99	12
4 4 12	73.93	16
2 8 6	74.23	16
6 4 6	82.08	12
2 4 18	82.69	12

=====

3.
# TmSe2
Computed powder diffractogram, Cu Ka. Input: the GGA-PBE geometry in the Materials Project.
Lines closer than 0.1° are merged.

Cell and atoms:
Lattice parameters (Å, degrees): 4.0426 4.0426 8.2439 90.00 90.00 90.00
Space group P4/nmm (No. 129, origin choice 2)
Symmetry-distinct sites (fractional):
Tm 0.2500 0.2500 0.2259
Se 0.2500 0.2500 0.8711
Se 0.2500 0.7500 0.5000

Top 12 peaks for 15 to 90 degrees two-theta, low angle first:
hkl	two_theta	I_rel
1 0 1	24.53	62
1 1 0	31.29	41
0 0 3	32.59	30
1 1 1	33.17	64
1 1 2	38.32	100
1 0 3	39.66	63
2 0 0	44.84	58
2 1 1	51.77	17
2 0 3	56.52	25
2 1 3	61.38	35
2 2 0	65.30	26
3 1 2	78.30	25